(1)
The following is a computed PXRD pattern of Pm4Tl3Ag. It was derived from a structure optimized by DFT (GGA-PBE), using CuKα.

Principal peaks in the range 10 to 90 degrees two-theta, in order of rising 2θ:
2θ/deg, Rel. int.
29.45, 27.1
30.03, 100.0
31.85, 19.3
34.66, 43.2
36.19, 37.4
36.76, 70.7
46.51, 18.5
47.32, 14.8
58.22, 22.6
59.28, 18.5
60.31, 17.1
70.52, 17.0

Atomic structure:
```
data_Pm4Tl3Ag
_cell_length_a 3.9053
_cell_length_b 4.9643
_cell_length_c 12.1323
_cell_angle_alpha 90.00
_cell_angle_beta 90.00
_cell_angle_gamma 90.00
_space_group_name_H-M_alt 'P m m 2'
_space_group_IT_number 25
_space_group_name_Hall 'P 2 -2'
loop_
_atom_site_label
_atom_site_type_symbol
_atom_site_fract_x
_atom_site_fract_y
_atom_site_fract_z
Pm1 Pm 0.0000 0.0000 0.0000
Pm2 Pm 0.0000 0.5000 0.2834
Pm3 Pm 0.5000 0.0000 0.4805
Pm4 Pm 0.5000 0.5000 0.7887
Tl1 Tl 0.0000 0.0000 0.7248
Tl2 Tl 0.0000 0.5000 0.5526
Tl3 Tl 0.5000 0.5000 0.0583
Ag1 Ag 0.5000 0.0000 0.2171
```


(2)
The following is a computed PXRD pattern of PmTm3Ag2. It was derived from a structure optimized by DFT (GGA-PBE), using CuKα.

Principal peaks in the range 10 to 90 degrees two-theta, in order of rising 2θ:
2θ/deg, Rel. int.
28.84, 10.1
33.24, 100.0
35.38, 54.9
38.66, 15.3
50.90, 19.4
57.99, 9.1
62.16, 32.4
64.72, 7.6
65.70, 6.3
74.84, 6.1
84.39, 7.0
85.59, 8.8

Atomic structure:
```
data_PmTm3Ag2
_cell_length_a 3.5882
_cell_length_b 3.5882
_cell_length_c 12.2460
_cell_angle_alpha 90.00
_cell_angle_beta 90.00
_cell_angle_gamma 90.00
_space_group_name_H-M_alt 'P 4/m m m'
_space_group_IT_number 123
_space_group_name_Hall '-P 4 2'
loop_
_atom_site_label
_atom_site_type_symbol
_atom_site_fract_x
_atom_site_fract_y
_atom_site_fract_z
Pm1 Pm 0.0000 0.0000 0.0000
Tm1 Tm 0.5000 0.5000 0.2073
Tm2 Tm 0.5000 0.5000 0.5000
Ag1 Ag 0.0000 0.0000 0.3521
```


(3)
The following is a computed PXRD pattern of PmTmAg3. It was derived from a structure optimized by DFT (GGA-PBE), using CuKα.

Principal peaks in the range 10 to 90 degrees two-theta, in order of rising 2θ:
2θ/deg, Rel. int.
27.74, 18.3
32.55, 49.6
34.69, 81.0
36.18, 56.9
37.37, 100.0
37.87, 15.8
49.43, 11.7
49.47, 18.7
59.92, 14.2
64.12, 13.1
65.86, 18.1
72.03, 17.1

Atomic structure:
```
data_PmTmAg3
_cell_length_a 5.5391
_cell_length_b 4.9653
_cell_length_c 8.6421
_cell_angle_alpha 90.00
_cell_angle_beta 102.34
_cell_angle_gamma 90.00
_space_group_name_H-M_alt 'P 1 21/m 1'
_space_group_IT_number 11
_space_group_name_Hall '-P 2yb'
loop_
_atom_site_label
_atom_site_type_symbol
_atom_site_fract_x
_atom_site_fract_y
_atom_site_fract_z
Pm1 Pm 0.0553 0.2500 0.3734
Tm1 Tm 0.2500 0.7500 0.0529
Ag1 Ag 0.2072 0.2500 0.8035
Ag2 Ag 0.4070 0.7500 0.4118
Ag3 Ag 0.4971 0.7500 0.7750
```


(4)
The following is a computed PXRD pattern of PmTm2Ag2. It was derived from a structure optimized by DFT (GGA-PBE), using CuKα.

Principal peaks in the range 10 to 90 degrees two-theta, in order of rising 2θ:
2θ/deg, Rel. int.
33.47, 21.4
33.84, 28.2
34.40, 100.0
48.34, 15.1
50.53, 9.0
60.43, 10.2
60.91, 19.5
61.97, 7.1
62.21, 9.5
72.51, 8.8
81.04, 5.7
84.46, 7.6

Atomic structure:
```
data_PmTm2Ag2
_cell_length_a 3.6127
_cell_length_b 5.2970
_cell_length_c 13.5087
_cell_angle_alpha 90.00
_cell_angle_beta 97.65
_cell_angle_gamma 90.00
_space_group_name_H-M_alt 'P 1 21/m 1'
_space_group_IT_number 11
_space_group_name_Hall '-P 2yb'
loop_
_atom_site_label
_atom_site_type_symbol
_atom_site_fract_x
_atom_site_fract_y
_atom_site_fract_z
Pm1 Pm 0.1461 0.2500 0.2907
Tm1 Tm 0.0474 0.7500 0.0950
Tm2 Tm 0.2351 0.7500 0.4695
Ag1 Ag 0.3569 0.2500 0.7153
Ag2 Ag 0.4563 0.7500 0.9125
```


(5)
The following is a computed PXRD pattern of Pm5TmAg4. It was derived from a structure optimized by DFT (GGA-PBE), using CuKα.

Principal peaks in the range 10 to 90 degrees two-theta, in order of rising 2θ:
2θ/deg, Rel. int.
30.07, 6.1
32.99, 100.0
34.33, 52.6
36.28, 7.2
45.31, 6.2
49.34, 18.7
58.06, 11.7
60.64, 33.9
69.21, 6.9
72.35, 5.8
81.84, 7.3
82.59, 8.3

Atomic structure:
```
data_Pm5TmAg4
_cell_length_a 3.6940
_cell_length_b 3.6940
_cell_length_c 20.0160
_cell_angle_alpha 90.00
_cell_angle_beta 90.00
_cell_angle_gamma 90.00
_space_group_name_H-M_alt 'P 4/m m m'
_space_group_IT_number 123
_space_group_name_Hall '-P 4 2'
loop_
_atom_site_label
_atom_site_type_symbol
_atom_site_fract_x
_atom_site_fract_y
_atom_site_fract_z
Pm1 Pm 0.0000 0.0000 0.0000
Pm2 Pm 0.0000 0.0000 0.1900
Pm3 Pm 0.0000 0.0000 0.3788
Tm1 Tm 0.5000 0.5000 0.5000
Ag1 Ag 0.5000 0.5000 0.0945
Ag2 Ag 0.5000 0.5000 0.2856
```


(6)
The following is a computed PXRD pattern of Pm5YAg4. It was derived from a structure optimized by DFT (GGA-PBE), using CuKα.

Principal peaks in the range 10 to 90 degrees two-theta, in order of rising 2θ:
2θ/deg, Rel. int.
32.91, 100.0
34.26, 56.3
36.19, 16.8
49.23, 19.9
57.88, 9.1
60.49, 33.7
61.98, 10.0
62.60, 6.6
72.77, 6.2
80.88, 6.7
81.63, 7.1
82.38, 8.8

Atomic structure:
```
data_Pm5YAg4
_cell_length_a 3.7018
_cell_length_b 3.7018
_cell_length_c 20.0780
_cell_angle_alpha 90.00
_cell_angle_beta 90.00
_cell_angle_gamma 90.00
_space_group_name_H-M_alt 'P 4/m m m'
_space_group_IT_number 123
_space_group_name_Hall '-P 4 2'
loop_
_atom_site_label
_atom_site_type_symbol
_atom_site_fract_x
_atom_site_fract_y
_atom_site_fract_z
Pm1 Pm 0.0000 0.0000 0.0000
Pm2 Pm 0.0000 0.0000 0.1886
Pm3 Pm 0.0000 0.0000 0.3755
Y1 Y 0.5000 0.5000 0.5000
Ag1 Ag 0.5000 0.5000 0.0943
Ag2 Ag 0.5000 0.5000 0.2827
```


(7)
The following is a computed PXRD pattern of PmY2Ag6. It was derived from a structure optimized by DFT (GGA-PBE), using CuKα.

Principal peaks in the range 10 to 90 degrees two-theta, in order of rising 2θ:
2θ/deg, Rel. int.
33.00, 66.1
33.81, 58.2
35.36, 51.9
37.36, 100.0
40.39, 35.4
43.67, 28.8
51.99, 16.1
56.87, 12.9
61.83, 21.5
62.48, 20.8
70.05, 13.7
79.64, 19.2

Atomic structure:
```
data_PmY2Ag6
_cell_length_a 5.3428
_cell_length_b 16.2848
_cell_length_c 5.3708
_cell_angle_alpha 90.00
_cell_angle_beta 119.78
_cell_angle_gamma 90.00
_space_group_name_H-M_alt 'C 1 2/m 1'
_space_group_IT_number 12
_space_group_name_Hall '-C 2y'
loop_
_atom_site_label
_atom_site_type_symbol
_atom_site_fract_x
_atom_site_fract_y
_atom_site_fract_z
Pm1 Pm 0.0000 0.0000 0.0000
Y1 Y 0.0000 0.3345 0.5000
Ag1 Ag 0.1608 0.5000 0.3242
Ag2 Ag 0.1714 0.1679 0.8346
```


(8)
The following is a computed PXRD pattern of Pm3YAg. It was derived from a structure optimized by DFT (GGA-PBE), using CuKα.

Principal peaks in the range 10 to 90 degrees two-theta, in order of rising 2θ:
2θ/deg, Rel. int.
15.81, 15.4
26.32, 40.0
27.65, 23.3
29.06, 14.8
31.18, 100.0
31.47, 55.8
33.61, 24.3
34.60, 80.8
36.29, 18.3
39.96, 20.0
42.44, 18.6
51.06, 18.4

Atomic structure:
```
data_Pm3YAg
_cell_length_a 11.5499
_cell_length_b 8.5189
_cell_length_c 7.9097
_cell_angle_alpha 90.00
_cell_angle_beta 121.15
_cell_angle_gamma 90.00
_space_group_name_H-M_alt 'C 1 2/m 1'
_space_group_IT_number 12
_space_group_name_Hall '-C 2y'
loop_
_atom_site_label
_atom_site_type_symbol
_atom_site_fract_x
_atom_site_fract_y
_atom_site_fract_z
Pm1 Pm 0.0492 0.0000 0.3036
Pm2 Pm 0.1788 0.2912 0.6909
Y1 Y 0.0764 0.5000 0.2612
Ag1 Ag 0.2314 0.5000 0.0486
```


(9)
The following is a computed PXRD pattern of PmYAg4. It was derived from a structure optimized by DFT (GGA-PBE), using CuKα.

Principal peaks in the range 10 to 90 degrees two-theta, in order of rising 2θ:
2θ/deg, Rel. int.
19.08, 1.4
25.25, 1.2
33.45, 68.0
37.30, 100.0
48.04, 23.9
59.12, 6.1
62.34, 42.1
69.66, 14.7
70.29, 7.3
79.52, 10.2
80.12, 10.2
82.37, 9.5

Atomic structure:
```
data_PmYAg4
_cell_length_a 5.3584
_cell_length_b 9.3763
_cell_length_c 5.3560
_cell_angle_alpha 90.00
_cell_angle_beta 90.00
_cell_angle_gamma 90.00
_space_group_name_H-M_alt 'C m m m'
_space_group_IT_number 65
_space_group_name_Hall '-C 2 2'
loop_
_atom_site_label
_atom_site_type_symbol
_atom_site_fract_x
_atom_site_fract_y
_atom_site_fract_z
Pm1 Pm 0.0000 0.0000 0.0000
Y1 Y 0.0000 0.5000 0.5000
Ag1 Ag 0.0000 0.1731 0.5000
Ag2 Ag 0.0000 0.3308 0.0000
```


(10)
The following is a computed PXRD pattern of PmZn3Ag. It was derived from a structure optimized by DFT (GGA-PBE), using CuKα.

Principal peaks in the range 10 to 90 degrees two-theta, in order of rising 2θ:
2θ/deg, Rel. int.
32.05, 13.7
32.72, 35.6
33.25, 11.3
35.49, 13.6
36.14, 58.9
36.39, 49.3
38.79, 10.1
39.10, 100.0
46.86, 11.6
49.78, 11.9
59.98, 10.9
67.29, 10.1

Atomic structure:
```
data_PmZn3Ag
_cell_length_a 5.4684
_cell_length_b 5.5859
_cell_length_c 6.2815
_cell_angle_alpha 90.00
_cell_angle_beta 91.41
_cell_angle_gamma 90.00
_space_group_name_H-M_alt 'P 1 21/m 1'
_space_group_IT_number 11
_space_group_name_Hall '-P 2yb'
loop_
_atom_site_label
_atom_site_type_symbol
_atom_site_fract_x
_atom_site_fract_y
_atom_site_fract_z
Pm1 Pm 0.1594 0.2500 0.1633
Zn1 Zn 0.3488 0.0128 0.6780
Zn2 Zn 0.3575 0.7500 0.0394
Ag1 Ag 0.0860 0.7500 0.3863
```


(11)
The following is a computed PXRD pattern of Pm5Zn2Ag12. It was derived from a structure optimized by DFT (GGA-PBE), using CuKα.

Principal peaks in the range 10 to 90 degrees two-theta, in order of rising 2θ:
2θ/deg, Rel. int.
32.41, 57.6
33.08, 50.8
33.84, 34.6
34.10, 100.0
34.42, 48.1
35.24, 81.6
36.61, 69.1
38.04, 42.8
40.28, 33.4
41.49, 35.3
44.22, 29.1
66.18, 30.6

Atomic structure:
```
data_Pm5Zn2Ag12
_cell_length_a 15.3918
_cell_length_b 7.6260
_cell_length_c 7.1390
_cell_angle_alpha 90.00
_cell_angle_beta 91.42
_cell_angle_gamma 90.00
_space_group_name_H-M_alt 'C 1 2/m 1'
_space_group_IT_number 12
_space_group_name_Hall '-C 2y'
loop_
_atom_site_label
_atom_site_type_symbol
_atom_site_fract_x
_atom_site_fract_y
_atom_site_fract_z
Pm1 Pm 0.0000 0.0000 0.0000
Pm2 Pm 0.1983 0.5000 0.5314
Pm3 Pm 0.2442 0.0000 0.9406
Zn1 Zn 0.0000 0.2995 0.5000
Ag1 Ag 0.0515 0.5000 0.1833
Ag2 Ag 0.0959 0.0000 0.5920
Ag3 Ag 0.1066 0.3032 0.8412
Ag4 Ag 0.1430 0.1888 0.2552
```


(12)
The following is a computed PXRD pattern of PmZn2Ag5. It was derived from a structure optimized by DFT (GGA-PBE), using CuKα.

Principal peaks in the range 10 to 90 degrees two-theta, in order of rising 2θ:
2θ/deg, Rel. int.
28.58, 20.5
33.39, 99.2
34.99, 100.0
35.14, 16.5
41.28, 31.4
42.20, 59.4
43.44, 13.3
45.11, 14.0
46.43, 32.6
58.98, 13.7
64.53, 31.9
73.44, 20.9

Atomic structure:
```
data_PmZn2Ag5
_cell_length_a 3.9116
_cell_length_b 7.9148
_cell_length_c 10.1860
_cell_angle_alpha 90.00
_cell_angle_beta 90.00
_cell_angle_gamma 90.00
_space_group_name_H-M_alt 'I m m m'
_space_group_IT_number 71
_space_group_name_Hall '-I 2 2'
loop_
_atom_site_label
_atom_site_type_symbol
_atom_site_fract_x
_atom_site_fract_y
_atom_site_fract_z
Pm1 Pm 0.0000 0.0000 0.0000
Zn1 Zn 0.0000 0.5000 0.2624
Ag1 Ag 0.0000 0.1947 0.3565
Ag2 Ag 0.0000 0.5000 0.0000
```


(13)
The following is a computed PXRD pattern of Pm3Zn3Ag. It was derived from a structure optimized by DFT (GGA-PBE), using CuKα.

Principal peaks in the range 10 to 90 degrees two-theta, in order of rising 2θ:
2θ/deg, Rel. int.
23.53, 21.7
32.77, 100.0
33.26, 57.9
36.32, 13.9
36.89, 55.6
39.39, 32.9
50.40, 16.0
52.48, 31.5
56.30, 14.5
64.07, 21.3
65.78, 14.0
67.25, 12.2

Atomic structure:
```
data_Pm3Zn3Ag
_cell_length_a 3.6212
_cell_length_b 4.5754
_cell_length_c 20.1500
_cell_angle_alpha 90.00
_cell_angle_beta 90.00
_cell_angle_gamma 90.00
_space_group_name_H-M_alt 'I m m 2'
_space_group_IT_number 44
_space_group_name_Hall 'I 2 -2'
loop_
_atom_site_label
_atom_site_type_symbol
_atom_site_fract_x
_atom_site_fract_y
_atom_site_fract_z
Pm1 Pm 0.0000 0.0000 0.0000
Pm2 Pm 0.0000 0.0000 0.3866
Pm3 Pm 0.0000 0.5000 0.1896
Zn1 Zn 0.0000 0.0000 0.5541
Zn2 Zn 0.0000 0.0000 0.8333
Zn3 Zn 0.0000 0.5000 0.6243
Ag1 Ag 0.0000 0.5000 0.7574
```